Record 1
Structure and computed powder XRD pattern of HgTeSeBr (the GGA-PBE geometry in Alexandria; a wavelength of 1.5418 Å).
Neutral-atom scattering factors, no anomalous dispersion.

Most intense lines, 10 to 90 degrees two-theta, in order of rising 2θ:
d (Å)	intensity	hkl
7.786	62	0 0 1
3.936	30	1 1 0
3.328	100	1 1 1
3.141	35	2 0 -2
3.054	20	2 0 1
2.592	17	1 1 2
2.321	48	0 2 0
2.248	22	3 1 -1
1.866	16	2 2 -2
1.852	17	1 1 -4

Crystal structure
a = 7.720 Å, b = 4.638 Å, c = 8.080 Å
α = 90.00°, β = 105.50°, γ = 90.00°
Space group Cm (No. 8)
Symmetry-distinct sites (fractional):
1 Hg 0.000 0.000 0.000
2 Te 0.314 0.500 0.247
3 Se 0.435 0.000 0.395
4 Br 0.208 0.000 0.795

Record 2
Structure and computed powder XRD pattern of SrPr2Zn8 (the GGA-PBE geometry in Alexandria; a wavelength of 1.5418 Å).
Neutral-atom scattering factors, no anomalous dispersion.

Most intense lines, 10 to 90 degrees two-theta, in order of rising 2θ:
d (Å)	intensity	hkl
3.463	32	2 2 -1
3.108	24	2 0 0
2.607	100	1 5 -1
2.597	71	1 1 1
2.487	39	2 0 -2
2.413	57	2 4 0
2.342	68	3 3 -1
2.104	24	3 3 -2
2.001	25	1 7 -1
1.363	26	0 8 2

Crystal structure
a = 7.956 Å, b = 15.308 Å, c = 4.974 Å
α = 90.00°, β = 128.62°, γ = 90.00°
Space group C2/m (No. 12)
Symmetry-distinct sites (fractional):
1 Sr 0.000 0.000 0.000
2 Pr 0.000 0.307 0.500
3 Zn 0.000 0.200 0.000
4 Zn 0.000 0.500 0.245
5 Zn 0.227 0.126 0.727

Record 3
Structure and computed powder XRD pattern of RbIn4Bi2 (the GGA-PBE geometry in Alexandria; a wavelength of 1.5418 Å).
Neutral-atom scattering factors, no anomalous dispersion.

Most intense lines, 10 to 90 degrees two-theta, in order of rising 2θ:
d (Å)	intensity	hkl
5.739	28	0 0 2
4.003	31	2 0 0
3.480	100	1 1 2
3.442	40	2 0 -2
2.870	29	0 0 4
2.776	65	0 2 0
2.491	36	1 1 -4
2.372	36	1 1 4
2.290	38	3 1 -2
2.153	33	3 1 2

Crystal structure
a = 8.044 Å, b = 5.552 Å, c = 11.532 Å
α = 90.00°, β = 95.49°, γ = 90.00°
Space group C2/m (No. 12)
Symmetry-distinct sites (fractional):
1 Rb 0.000 0.000 0.000
2 In 0.179 0.500 0.703
3 In 0.180 0.000 0.531
4 Bi 0.167 0.500 0.217

Record 4
Structure and computed powder XRD pattern of PrAgHgPb (the GGA-PBE geometry in Alexandria; a wavelength of 1.5418 Å).
Neutral-atom scattering factors, no anomalous dispersion.

Most intense lines, 10 to 90 degrees two-theta, in order of rising 2θ:
d (Å)	intensity	hkl
4.241	8	1 0 1
2.711	100	1 1 2
2.406	36	2 0 0
2.242	15	0 0 4
1.702	13	2 2 0
1.641	22	2 0 4
1.441	29	3 1 2
1.369	12	1 1 6
1.356	12	2 2 4
1.100	6	3 3 2

Crystal structure
a = 4.813 Å, b = 4.813 Å, c = 8.970 Å
α = 90.00°, β = 90.00°, γ = 90.00°
Space group I-4m2 (No. 119)
Symmetry-distinct sites (fractional):
1 Pr 0.000 0.000 0.000
2 Ag 0.000 0.500 0.250
3 Hg 0.000 0.500 0.750
4 Pb 0.000 0.000 0.500